No. 1
For La2Zn5Au5, a cell relaxed with PBE gives the calculated powder X-ray diffraction pattern in this record (Cu Ka).
Lines closer than 0.1° are merged.

The 10 most intense peaks (2θ from 15° to 90°), by angle:
2θ = 18.68°, intensity 20; 2θ = 19.64°, intensity 18; 2θ = 32.03°, intensity 26; 2θ = 32.95°, intensity 22; 2θ = 37.85°, intensity 100; 2θ = 38.65°, intensity 30; 2θ = 39.89°, intensity 31; 2θ = 43.01°, intensity 21; 2θ = 62.10°, intensity 23; 2θ = 80.88°, intensity 16

Atomic structure:
```
12
Lattice="4.520 0.000 0.000 0.000 5.437 0.000 0.000 0.000 9.773" Properties=species:S:1:pos:R:3 pbc="T T T"
La 0.000 0.000 0.000
La 0.000 2.718 4.887
Zn 2.260 0.000 4.887
Zn 2.260 1.356 2.458
Zn 2.260 1.356 7.316
Zn 2.260 4.081 2.458
Zn 2.260 4.081 7.316
Au 0.000 0.000 3.259
Au 0.000 0.000 6.515
Au 0.000 2.718 1.764
Au 0.000 2.718 8.010
Au 2.260 2.718 0.000
```



No. 2
For LaZn3Au9, a cell relaxed with PBE gives the calculated powder X-ray diffraction pattern in this record (Cu Ka).
Lines closer than 0.1° are merged.

The 10 most intense peaks (2θ from 15° to 90°), by angle:
2θ = 32.07°, intensity 30; 2θ = 33.23°, intensity 46; 2θ = 33.58°, intensity 40; 2θ = 37.19°, intensity 45; 2θ = 37.56°, intensity 100; 2θ = 37.96°, intensity 97; 2θ = 39.28°, intensity 32; 2θ = 41.57°, intensity 35; 2θ = 41.94°, intensity 25; 2θ = 42.90°, intensity 64

Atomic structure:
```
13
Lattice="2.703 -6.768 0.000 2.703 6.768 0.000 -2.222 0.000 6.650" Properties=species:S:1:pos:R:3 pbc="T T T"
La 0.000 0.000 0.000
Zn 1.352 3.384 0.000
Zn 1.352 -3.384 0.000
Zn 1.592 0.000 3.325
Au -1.111 0.000 3.325
Au 0.468 4.365 4.437
Au 0.518 1.474 5.226
Au 2.717 4.365 2.212
Au 2.667 1.474 1.424
Au 0.518 -1.474 5.226
Au 0.468 -4.365 4.437
Au 2.667 -1.474 1.424
Au 2.717 -4.365 2.212
```



No. 3
For LaZnAu, a cell relaxed with PBE gives the calculated powder X-ray diffraction pattern in this record (Cu Ka).
Lines closer than 0.1° are merged.

The 10 most intense peaks (2θ from 15° to 90°), by angle:
2θ = 22.53°, intensity 23; 2θ = 31.31°, intensity 27; 2θ = 32.38°, intensity 29; 2θ = 32.68°, intensity 29; 2θ = 33.21°, intensity 53; 2θ = 33.45°, intensity 19; 2θ = 38.38°, intensity 100; 2θ = 51.11°, intensity 17; 2θ = 63.63°, intensity 11; 2θ = 65.10°, intensity 12

Atomic structure:
```
6
Lattice="5.388 -2.342 0.000 5.388 2.342 0.000 -4.803 0.000 5.529" Properties=species:S:1:pos:R:3 pbc="T T T"
La -1.064 0.000 1.571
La 7.037 0.000 3.958
Zn -0.575 0.000 4.878
Zn 6.548 0.000 0.651
Au 2.078 0.000 1.613
Au 3.895 0.000 3.917
```



No. 4
For LaZn6Au3, a cell relaxed with PBE gives the calculated powder X-ray diffraction pattern in this record (Cu Ka).
Lines closer than 0.1° are merged.

The 10 most intense peaks (2θ from 15° to 90°), by angle:
2θ = 19.25°, intensity 39; 2θ = 20.94°, intensity 45; 2θ = 28.80°, intensity 82; 2θ = 37.71°, intensity 100; 2θ = 37.88°, intensity 58; 2θ = 38.86°, intensity 51; 2θ = 39.08°, intensity 57; 2θ = 40.24°, intensity 58; 2θ = 42.25°, intensity 57; 2θ = 42.62°, intensity 45

Atomic structure:
```
20
Lattice="6.932 0.000 0.000 0.000 7.038 0.000 -4.083 0.000 7.569" Properties=species:S:1:pos:R:3 pbc="T T T"
La 0.000 0.000 0.000
La -2.042 3.519 3.785
Zn -1.618 0.017 5.011
Zn 0.423 3.502 1.227
Zn 0.090 1.301 3.045
Zn -1.951 2.218 6.829
Zn 2.445 5.235 1.876
Zn 0.403 5.323 5.661
Zn 2.446 1.716 1.908
Zn 0.404 1.804 5.693
Zn 4.800 4.820 0.740
Zn 2.758 5.737 4.524
Zn 2.425 3.536 6.342
Zn 4.467 7.021 2.558
Au -2.119 4.787 6.661
Au -0.078 5.770 2.877
Au 3.466 0.000 0.000
Au 1.424 3.519 3.785
Au 2.926 1.268 4.692
Au 4.968 2.251 0.908
```



No. 5
For LaZn9Au2, a cell relaxed with PBE gives the calculated powder X-ray diffraction pattern in this record (Cu Ka).
Lines closer than 0.1° are merged.

The 10 most intense peaks (2θ from 15° to 90°), by angle:
2θ = 15.11°, intensity 38; 2θ = 22.32°, intensity 54; 2θ = 32.40°, intensity 92; 2θ = 33.01°, intensity 43; 2θ = 36.76°, intensity 83; 2θ = 37.04°, intensity 63; 2θ = 39.69°, intensity 52; 2θ = 43.19°, intensity 42; 2θ = 43.67°, intensity 100; 2θ = 45.55°, intensity 96

Atomic structure:
```
24
Lattice="-5.428 5.428 3.483 5.428 -5.428 3.483 5.428 5.428 -3.483" Properties=species:S:1:pos:R:3 pbc="T T T"
La 5.428 2.714 0.871
La 0.000 2.714 2.612
Zn 5.428 -2.714 2.612
Zn 4.105 -0.456 1.214
Zn 6.750 -0.456 1.214
Zn 2.258 1.392 0.528
Zn 8.597 1.392 0.528
Zn 4.105 4.972 -1.214
Zn 1.322 -0.456 2.270
Zn 2.258 4.036 0.528
Zn 3.170 -1.392 4.011
Zn 2.258 6.819 -0.528
Zn 3.170 1.392 2.955
Zn 4.105 5.884 1.214
Zn 1.322 0.456 4.697
Zn -3.170 4.036 2.955
Zn 3.170 4.036 2.955
Zn -1.322 5.884 2.270
Zn 1.322 5.884 2.270
Zn 0.000 8.141 0.871
Au 0.000 0.000 0.000
Au 2.714 2.714 -1.742
Au 2.714 -2.714 1.742
Au 0.000 5.428 0.000
```



No. 6
For La2Zn2Au15, a cell relaxed with PBE gives the calculated powder X-ray diffraction pattern in this record (Cu Ka).
Lines closer than 0.1° are merged.

The 10 most intense peaks (2θ from 15° to 90°), by angle:
2θ = 18.52°, intensity 44; 2θ = 32.76°, intensity 18; 2θ = 37.11°, intensity 40; 2θ = 37.44°, intensity 100; 2θ = 37.54°, intensity 40; 2θ = 41.78°, intensity 19; 2θ = 42.08°, intensity 86; 2θ = 61.10°, intensity 18; 2θ = 67.75°, intensity 22; 2θ = 79.86°, intensity 19

Atomic structure:
```
19
Lattice="4.791 2.766 4.845 -4.791 2.766 4.845 0.000 -5.532 4.845" Properties=species:S:1:pos:R:3 pbc="T T T"
La 0.000 0.000 2.258
La 0.000 0.000 12.277
Zn 0.000 0.000 5.783
Zn 0.000 0.000 8.752
Au -2.396 -1.383 4.845
Au 0.000 -2.830 4.582
Au -2.451 1.415 4.582
Au -1.452 -2.514 7.267
Au -2.903 0.000 7.267
Au -2.451 -1.415 9.953
Au -2.396 1.383 9.690
Au 1.452 -2.514 7.267
Au 0.000 2.766 4.845
Au -1.452 2.514 7.267
Au 2.451 1.415 4.582
Au 2.903 0.000 7.267
Au 1.452 2.514 7.267
Au 2.451 -1.415 9.953
Au 0.000 2.830 9.953
```



No. 7
For La4ZrAu, a cell relaxed with PBE gives the calculated powder X-ray diffraction pattern in this record (Cu Ka).
Lines closer than 0.1° are merged.

The 10 most intense peaks (2θ from 15° to 90°), by angle:
2θ = 17.03°, intensity 7; 2θ = 27.98°, intensity 28; 2θ = 32.94°, intensity 100; 2θ = 34.45°, intensity 39; 2θ = 49.51°, intensity 12; 2θ = 52.74°, intensity 35; 2θ = 57.83°, intensity 30; 2θ = 68.18°, intensity 12; 2θ = 69.08°, intensity 15; 2θ = 82.08°, intensity 22

Atomic structure:
```
6
Lattice="0.000 4.509 4.509 4.509 0.000 4.509 4.509 4.509 0.000" Properties=species:S:1:pos:R:3 pbc="T T T"
La 1.124 1.124 1.124
La 3.385 3.385 1.124
La 3.385 1.124 3.385
La 1.124 3.385 3.385
Zr 6.764 6.764 6.764
Au 4.509 4.509 4.509
```



No. 8
For LiAu2, a cell relaxed with PBE gives the calculated powder X-ray diffraction pattern in this record (Cu Ka).
Lines closer than 0.1° are merged.

The 10 most intense peaks (2θ from 15° to 90°), by angle:
2θ = 25.79°, intensity 35; 2θ = 35.92°, intensity 20; 2θ = 38.29°, intensity 100; 2θ = 39.11°, intensity 19; 2θ = 44.75°, intensity 46; 2θ = 54.14°, intensity 18; 2θ = 64.57°, intensity 16; 2θ = 65.70°, intensity 23; 2θ = 77.63°, intensity 13; 2θ = 78.15°, intensity 16

Atomic structure:
```
3
Lattice="2.887 0.000 0.000 -1.443 2.500 0.000 0.000 0.000 6.910" Properties=species:S:1:pos:R:3 pbc="T T T"
Li 0.000 0.000 0.000
Au 0.000 1.667 2.133
Au 1.443 0.833 4.777
```



No. 9
For Li15Au, a cell relaxed with PBE gives the calculated powder X-ray diffraction pattern in this record (Cu Ka).
Lines closer than 0.1° are merged.

The 10 most intense peaks (2θ from 15° to 90°), by angle:
2θ = 17.09°, intensity 67; 2θ = 18.51°, intensity 19; 2θ = 19.45°, intensity 100; 2θ = 25.30°, intensity 53; 2θ = 31.28°, intensity 31; 2θ = 32.92°, intensity 27; 2θ = 35.33°, intensity 23; 2θ = 35.86°, intensity 22; 2θ = 39.50°, intensity 30; 2θ = 47.31°, intensity 21

Atomic structure:
```
16
Lattice="5.991 0.000 0.000 -2.996 5.189 0.000 0.000 0.000 9.587" Properties=species:S:1:pos:R:3 pbc="T T T"
Li 0.000 0.000 0.000
Li -1.475 2.608 4.793
Li 1.448 0.836 2.549
Li 1.448 0.836 7.038
Li 0.000 3.459 2.305
Li 0.000 3.459 7.282
Li 1.475 2.608 4.793
Li 0.000 5.162 4.793
Li 2.996 0.036 0.000
Li 1.529 2.577 0.000
Li 4.543 0.836 2.549
Li 4.543 0.836 7.038
Li 2.996 3.517 2.549
Li 2.996 3.517 7.038
Li 4.463 2.577 0.000
Au 0.000 0.000 4.793
```



No. 10
For LiAu4, a cell relaxed with PBE gives the calculated powder X-ray diffraction pattern in this record (Cu Ka).
Lines closer than 0.1° are merged.

The 10 most intense peaks (2θ from 15° to 90°), by angle:
2θ = 20.26°, intensity 85; 2θ = 24.56°, intensity 53; 2θ = 33.99°, intensity 48; 2θ = 36.70°, intensity 41; 2θ = 38.69°, intensity 69; 2θ = 39.43°, intensity 100; 2θ = 40.35°, intensity 45; 2θ = 40.65°, intensity 85; 2θ = 43.85°, intensity 37; 2θ = 61.24°, intensity 37

Atomic structure:
```
5
Lattice="4.133 -2.752 0.000 4.133 2.752 0.000 -2.247 0.000 4.102" Properties=species:S:1:pos:R:3 pbc="T T T"
Li 0.000 0.000 0.000
Au 0.943 1.376 2.051
Au 2.834 0.000 0.497
Au 0.943 -1.376 2.051
Au 3.185 0.000 3.605
```



No. 11
For Li5Au, a cell relaxed with PBE gives the calculated powder X-ray diffraction pattern in this record (Cu Ka).
Lines closer than 0.1° are merged.

The 10 most intense peaks (2θ from 15° to 90°), by angle:
2θ = 18.43°, intensity 70; 2θ = 26.85°, intensity 58; 2θ = 27.80°, intensity 27; 2θ = 28.43°, intensity 100; 2θ = 32.76°, intensity 66; 2θ = 38.33°, intensity 31; 2θ = 39.03°, intensity 58; 2θ = 39.50°, intensity 44; 2θ = 42.85°, intensity 34; 2θ = 46.60°, intensity 30

Atomic structure:
```
6
Lattice="3.321 0.000 0.000 0.000 3.321 0.000 0.000 0.000 9.629" Properties=species:S:1:pos:R:3 pbc="T T T"
Li 0.000 0.000 0.000
Li 0.000 0.000 3.483
Li 0.000 0.000 6.146
Li 1.660 1.660 1.822
Li 1.660 1.660 7.806
Au 1.660 1.660 4.814
```



No. 12
For Li4Au, a cell relaxed with PBE gives the calculated powder X-ray diffraction pattern in this record (Cu Ka).
Lines closer than 0.1° are merged.

The 10 most intense peaks (2θ from 15° to 90°), by angle:
2θ = 21.36°, intensity 100; 2θ = 24.39°, intensity 71; 2θ = 24.53°, intensity 70; 2θ = 30.15°, intensity 22; 2θ = 30.63°, intensity 21; 2θ = 39.25°, intensity 49; 2θ = 39.48°, intensity 24; 2θ = 39.59°, intensity 24; 2θ = 44.79°, intensity 30; 2θ = 50.20°, intensity 16

Atomic structure:
```
10
Lattice="4.632 0.000 0.000 0.000 5.928 0.000 -4.612 0.000 5.838" Properties=species:S:1:pos:R:3 pbc="T T T"
Li 0.005 1.270 0.536
Li -2.302 1.695 3.455
Li 0.003 3.509 1.673
Li -2.303 5.383 4.592
Li 2.323 0.545 1.246
Li 0.017 2.419 4.165
Li 2.321 4.234 2.383
Li 0.015 4.659 5.302
Au 0.010 0.000 2.919
Au 2.316 2.964 0.000
```